(1)
This entry pairs a crystal structure of Tm3InAg4S8 with its calculated powder X-ray diffraction pattern. Radiation: λ = 1.5418 Å (Cu Kα). Structure: a cell relaxed with PBE.

Atomic structure:
a b c (Å): 7.994 7.994 8.882
angles (deg): 117.33 117.33 59.92
Fractional positions:
Tm1 0.000 0.000 0.000
Tm2 0.000 0.500 0.000
Tm3 0.500 0.000 0.000
In1 0.500 0.500 0.000
Ag1 0.000 0.000 0.500
Ag2 0.000 0.500 0.500
Ag3 0.500 0.000 0.500
Ag4 0.500 0.500 0.500
S1 0.103 0.103 0.814
S2 0.108 0.601 0.814
S3 0.399 0.399 0.186
S4 0.399 0.892 0.186
S5 0.601 0.108 0.814
S6 0.601 0.601 0.814
S7 0.892 0.399 0.186
S8 0.897 0.897 0.186

Main lines, by angle (15° ≤ 2θ ≤ 90°):
- 23.6 deg, intensity 40.8
- 26.8 deg, intensity 49.6
- 27.0 deg, intensity 100.0
- 30.2 deg, intensity 39.6
- 41.4 deg, intensity 34.7
- 45.4 deg, intensity 48.3



(2)
This entry pairs a crystal structure of TlAgAsP2 with its calculated powder X-ray diffraction pattern. Radiation: λ = 1.5418 Å (Cu Kα). Structure: a cell relaxed with PBE.

Atomic structure:
a b c (Å): 5.088 5.088 5.197
angles (deg): 90.00 90.00 90.00
Fractional positions:
Tl1 0.000 0.000 0.000
Ag1 0.000 0.000 0.500
As1 0.500 0.500 0.500
P1 0.000 0.500 0.000
P2 0.500 0.000 0.000

Main lines, by angle (15° ≤ 2θ ≤ 90°):
- 17.4 deg, intensity 100.0
- 24.5 deg, intensity 44.0
- 24.7 deg, intensity 85.5
- 35.3 deg, intensity 65.9
- 42.9 deg, intensity 40.8
- 50.2 deg, intensity 47.6



(3)
This entry pairs a crystal structure of Zr4Co5 with its calculated powder X-ray diffraction pattern. Radiation: λ = 1.5418 Å (Cu Kα). Structure: a cell relaxed with PBE.

Atomic structure:
a b c (Å): 7.711 7.711 5.423
angles (deg): 90.00 90.00 120.00
Fractional positions:
Zr1 0.000 0.000 0.000
Zr2 0.000 0.000 0.500
Zr3 0.000 0.373 0.250
Zr4 0.000 0.627 0.750
Zr5 0.373 0.000 0.250
Zr6 0.373 0.373 0.750
Zr7 0.627 0.000 0.750
Zr8 0.627 0.627 0.250
Co1 0.000 0.308 0.750
Co2 0.000 0.692 0.250
Co3 0.308 0.000 0.750
Co4 0.308 0.308 0.250
Co5 0.333 0.667 0.000
Co6 0.333 0.667 0.500
Co7 0.667 0.333 0.000
Co8 0.667 0.333 0.500
Co9 0.692 0.000 0.250
Co10 0.692 0.692 0.750

Main lines, by angle (15° ≤ 2θ ≤ 90°):
- 39.4 deg, intensity 20.8
- 40.5 deg, intensity 99.9
- 40.7 deg, intensity 100.0
- 58.8 deg, intensity 26.4
- 73.8 deg, intensity 24.2
- 83.5 deg, intensity 21.9



Copy entry 1 word for word.
This entry pairs a crystal structure of Tm3InAg4S8 with its calculated powder X-ray diffraction pattern. Radiation: λ = 1.5418 Å (Cu Kα). Structure: a cell relaxed with PBE.

Atomic structure:
a b c (Å): 7.994 7.994 8.882
angles (deg): 117.33 117.33 59.92
Fractional positions:
Tm1 0.000 0.000 0.000
Tm2 0.000 0.500 0.000
Tm3 0.500 0.000 0.000
In1 0.500 0.500 0.000
Ag1 0.000 0.000 0.500
Ag2 0.000 0.500 0.500
Ag3 0.500 0.000 0.500
Ag4 0.500 0.500 0.500
S1 0.103 0.103 0.814
S2 0.108 0.601 0.814
S3 0.399 0.399 0.186
S4 0.399 0.892 0.186
S5 0.601 0.108 0.814
S6 0.601 0.601 0.814
S7 0.892 0.399 0.186
S8 0.897 0.897 0.186

Main lines, by angle (15° ≤ 2θ ≤ 90°):
- 23.6 deg, intensity 40.8
- 26.8 deg, intensity 49.6
- 27.0 deg, intensity 100.0
- 30.2 deg, intensity 39.6
- 41.4 deg, intensity 34.7
- 45.4 deg, intensity 48.3